This entry pairs a crystal structure of Li5Co2O6 with its computed powder diffractogram. Radiation: Cu Kα (weighted mean of Kα1 and Kα2). Structure: a PBE+U-relaxed structure.
Peak positions follow from Bragg's law for the DFT cell and can differ from measured ones.

Peak list (6 most intense, 2θ from 10° to 80°, low angle first)
hkl  2theta  d/Å  I_rel
0 2 0  13.97  6.341  30
2 0 0  14.11  6.275  27
1 3 0  22.19  4.006  26
1 1 1  27.49  3.245  100
4 4 0  40.45  2.230  31
5 5 1  58.09  1.588  25

Structure:
```
data_Li5Co2O6
_cell_length_a 12.550
_cell_length_b 12.681
_cell_length_c 3.484
_cell_angle_alpha 90.00
_cell_angle_beta 90.00
_cell_angle_gamma 90.00
_space_group_name_H-M_alt 'C m m m'
_space_group_IT_number 65
_space_group_name_Hall '-C 2 2'
loop_
_atom_site_label
_atom_site_fract_x
_atom_site_fract_y
_atom_site_fract_z
Li1 0.104 0.217 0.000
Li2 0.171 0.500 0.000
Li3 0.240 0.364 0.500
Co1 0.000 0.385 0.500
Co2 0.110 0.000 0.000
O1 0.000 0.096 0.000
O2 0.096 0.500 0.500
O3 0.106 0.294 0.500
O4 0.209 0.102 0.000
```